The following is a theoretical X-ray diffraction stick pattern of Sr5Al2F16. It was derived from a DFT-relaxed cell (PBE, the Materials Project), using Cu Kα (weighted mean of Kα1 and Kα2).
Neutral-atom scattering factors, no anomalous dispersion.

Cell and atoms:
```
data_Sr5Al2F16
_symmetry_space_group_name_H-M 'C c c e'
_symmetry_Int_Tables_number 68
_cell_length_a 7.5886
_cell_length_b 12.6139
_cell_length_c 14.3044
_cell_angle_alpha 90.00
_cell_angle_beta 90.00
_cell_angle_gamma 90.00
loop_
_symmetry_equiv_pos_as_xyz
'x,y,z'
'-x,-y,-z'
'-x+1/2,-y,z'
'x+1/2,y,-z'
'x+1/2,-y,-z+1/2'
'-x+1/2,y,z+1/2'
'-x,y,-z+1/2'
'x,-y,z+1/2'
'x+1/2,y+1/2,z'
'-x+1/2,-y+1/2,-z'
'-x,-y+1/2,z'
'x,y+1/2,-z'
'x,-y+1/2,-z+1/2'
'-x,y+1/2,z+1/2'
'-x+1/2,y+1/2,-z+1/2'
'x+1/2,-y+1/2,z+1/2'
loop_
_atom_site_label
_atom_site_type_symbol
_atom_site_fract_x
_atom_site_fract_y
_atom_site_fract_z
Sr1 Sr 0.0000 0.2500 0.0322
Sr2 Sr 0.0000 0.2500 0.7500
Sr3 Sr 0.2500 0.0000 0.1232
Al1 Al 0.2500 0.0000 0.3718
F1 F 0.0488 0.0831 0.3723
F2 F 0.1506 0.0815 0.9628
F3 F 0.1651 0.0845 0.7799
F4 F 0.1895 0.1973 0.6039
```

The 10 most intense peaks (2θ = 10–90°), low angle first:
23.1°, rel. 56, (1 1 3)
27.4°, rel. 100, (2 2 0)
28.3°, rel. 36, (0 4 0)
28.7°, rel. 61, (0 2 4)
34.5°, rel. 40, (2 0 4)
39.7°, rel. 24, (1 5 2)
45.2°, rel. 63, (2 4 4)
49.6°, rel. 26, (2 6 0)
51.1°, rel. 28, (0 0 8)
56.8°, rel. 30, (4 2 4)